Computed powder diffractogram of Gd3NbS3O4 for λ = 1.5418 Å (Cu Kα), from the GGA-PBE geometry in OQMD.
No peak broadening, texture or thermal motion is included.

```
data_Gd3NbS3O4
_chemical_formula_sum 'Gd12 Nb4 S12 O16'
_cell_length_a 6.6148
_cell_length_b 14.1770
_cell_length_c 7.5852
_cell_angle_alpha 90.00
_cell_angle_beta 90.00
_cell_angle_gamma 90.00
_symmetry_space_group_name_H-M 'P n a 21'
_symmetry_Int_Tables_number 33
loop_
_symmetry_equiv_pos_as_xyz
'x,y,z'
'-x,-y,z+1/2'
'-x+1/2,y+1/2,z+1/2'
'x+1/2,-y+1/2,z'
loop_
_atom_site_label
_atom_site_type_symbol
_atom_site_fract_x
_atom_site_fract_y
_atom_site_fract_z
Gd1 Gd 0.2164 0.1568 0.0000
Gd2 Gd 0.2221 0.9183 0.7562
Gd3 Gd 0.2264 0.1671 0.5101
Nb1 Nb 0.1850 0.9272 0.2438
S1 S 0.0027 0.2735 0.2473
S2 S 0.0244 0.4939 0.5297
S3 S 0.0442 0.2973 0.7640
O1 O 0.1200 0.8638 0.0254
O2 O 0.1251 0.8840 0.4793
O3 O 0.1350 0.0728 0.7450
O4 O 0.1437 0.0645 0.2628
```

Principal peaks in the range 2θ from 5° to 70°, by intensity:
| two_theta | Rel. int. | (hkl) |
| --- | --- | --- |
| 29.94 | 100.0 | 1 2 2 |
| 28.57 | 55.0 | 1 4 0 |
| 45.21 | 32.0 | 0 6 2 |
| 38.28 | 30.3 | 2 2 2 |
| 26.96 | 29.2 | 2 0 0 |
| 53.43 | 21.1 | 2 6 2 |
| 49.52 | 20.6 | 3 2 2 |
| 47.98 | 17.5 | 0 0 4 |
| 56.79 | 16.1 | 1 4 4 |
| 37.18 | 15.7 | 2 4 0 |

Computed powder diffractogram of GdNb2Si2Sb for λ = 1.5418 Å (Cu Kα), from the GGA-PBE geometry in OQMD.
No peak broadening, texture or thermal motion is included.

```
data_GdNb2Si2Sb
_chemical_formula_sum 'Gd1 Nb2 Si2 Sb1'
_cell_length_a 4.0147
_cell_length_b 4.0147
_cell_length_c 7.8402
_cell_angle_alpha 90.00
_cell_angle_beta 90.00
_cell_angle_gamma 90.00
_symmetry_space_group_name_H-M 'P 4 m m'
_symmetry_Int_Tables_number 99
loop_
_symmetry_equiv_pos_as_xyz
'x,y,z'
'-y,x,z'
'-x,-y,z'
'y,-x,z'
'-x,y,z'
'y,x,z'
'x,-y,z'
'-y,-x,z'
loop_
_atom_site_label
_atom_site_type_symbol
_atom_site_fract_x
_atom_site_fract_y
_atom_site_fract_z
Gd1 Gd 0.0000 0.0000 0.0000
Nb1 Nb 0.0000 0.5000 0.3597
Si1 Si 0.0000 0.0000 0.6073
Si2 Si 0.5000 0.5000 0.1281
Sb1 Sb 0.5000 0.5000 0.6636
```

Principal peaks in the range 2θ from 5° to 70°, by intensity:
| two_theta | Rel. int. | (hkl) |
| --- | --- | --- |
| 33.57 | 100.0 | 1 1 1 |
| 39.18 | 87.3 | 1 1 2 |
| 24.92 | 68.8 | 1 0 1 |
| 31.91 | 63.8 | 1 0 2 |
| 45.17 | 55.7 | 2 0 0 |
| 34.31 | 43.2 | 0 0 3 |
| 57.93 | 37.5 | 2 0 3 |
| 56.36 | 25.1 | 2 1 2 |
| 52.27 | 18.9 | 2 1 1 |
| 65.79 | 17.8 | 2 2 0 |

Computed powder diffractogram of TbGdNb2Si2 for λ = 1.5418 Å (Cu Kα), from the GGA-PBE geometry in OQMD.
No peak broadening, texture or thermal motion is included.

```
data_TbGdNb2Si2
_chemical_formula_sum 'Tb1 Gd1 Nb2 Si2'
_cell_length_a 4.0141
_cell_length_b 4.0141
_cell_length_c 7.8541
_cell_angle_alpha 90.00
_cell_angle_beta 90.00
_cell_angle_gamma 90.00
_symmetry_space_group_name_H-M 'P 4 m m'
_symmetry_Int_Tables_number 99
loop_
_symmetry_equiv_pos_as_xyz
'x,y,z'
'-y,x,z'
'-x,-y,z'
'y,-x,z'
'-x,y,z'
'y,x,z'
'x,-y,z'
'-y,-x,z'
loop_
_atom_site_label
_atom_site_type_symbol
_atom_site_fract_x
_atom_site_fract_y
_atom_site_fract_z
Tb1 Tb 0.0000 0.0000 0.0000
Gd1 Gd 0.5000 0.5000 0.7068
Nb1 Nb 0.0000 0.5000 0.3525
Si1 Si 0.0000 0.0000 0.5894
Si2 Si 0.5000 0.5000 0.1155
```

Principal peaks in the range 2θ from 5° to 70°, by intensity:
| two_theta | Rel. int. | (hkl) |
| --- | --- | --- |
| 33.57 | 100.0 | 1 1 1 |
| 31.88 | 78.1 | 1 0 2 |
| 24.91 | 54.3 | 1 0 1 |
| 39.16 | 50.7 | 1 1 2 |
| 45.18 | 48.3 | 2 0 0 |
| 34.25 | 36.7 | 0 0 3 |
| 57.89 | 32.1 | 2 0 3 |
| 56.35 | 31.1 | 2 1 2 |
| 57.03 | 25.3 | 1 1 4 |
| 65.80 | 15.5 | 2 2 0 |

Computed powder diffractogram of GdYNb2Si2 for λ = 1.5418 Å (Cu Kα), from the GGA-PBE geometry in OQMD.
No peak broadening, texture or thermal motion is included.

```
data_GdYNb2Si2
_chemical_formula_sum 'Gd1 Y1 Nb2 Si2'
_cell_length_a 4.0144
_cell_length_b 4.0144
_cell_length_c 7.8164
_cell_angle_alpha 90.00
_cell_angle_beta 90.00
_cell_angle_gamma 90.00
_symmetry_space_group_name_H-M 'P 4 m m'
_symmetry_Int_Tables_number 99
loop_
_symmetry_equiv_pos_as_xyz
'x,y,z'
'-y,x,z'
'-x,-y,z'
'y,-x,z'
'-x,y,z'
'y,x,z'
'x,-y,z'
'-y,-x,z'
loop_
_atom_site_label
_atom_site_type_symbol
_atom_site_fract_x
_atom_site_fract_y
_atom_site_fract_z
Gd1 Gd 0.0000 0.0000 0.0000
Y1 Y 0.5000 0.5000 0.7066
Nb1 Nb 0.0000 0.5000 0.3535
Si1 Si 0.0000 0.0000 0.5928
Si2 Si 0.5000 0.5000 0.1142
```

Principal peaks in the range 2θ from 5° to 70°, by intensity:
| two_theta | Rel. int. | (hkl) |
| --- | --- | --- |
| 33.59 | 100.0 | 1 1 1 |
| 31.96 | 59.2 | 1 0 2 |
| 39.23 | 57.4 | 1 1 2 |
| 45.17 | 45.5 | 2 0 0 |
| 24.93 | 37.4 | 1 0 1 |
| 34.42 | 33.8 | 0 0 3 |
| 58.00 | 29.5 | 2 0 3 |
| 56.40 | 23.2 | 2 1 2 |
| 57.23 | 22.3 | 1 1 4 |
| 65.80 | 14.5 | 2 2 0 |